Starting from a PBE+U-relaxed structure, the X-ray diffraction stick pattern of Na4NiPd3O8 was computed for Cu Kα (λ = 1.5418 Å).
Intensities are scaled so that the largest is 100.

Principal peaks in the range 10 to 90 degrees two-theta, sorted by position:
- 16.80 deg, I 100
- 30.81 deg, I 15
- 33.82 deg, I 24
- 33.98 deg, I 42
- 34.49 deg, I 37
- 36.58 deg, I 41
- 41.24 deg, I 62
- 54.00 deg, I 11
- 56.29 deg, I 42
- 60.41 deg, I 10
- 70.23 deg, I 12
- 71.15 deg, I 10

```
data_Na4NiPd3O8
_cell_length_a 6.580
_cell_length_b 6.580
_cell_length_c 6.256
_cell_angle_alpha 118.36
_cell_angle_beta 118.36
_cell_angle_gamma 55.52
_symmetry_space_group_name_H-M 'P 1'
_symmetry_Int_Tables_number 1
loop_
_symmetry_equiv_pos_as_xyz
'x,y,z'
loop_
_atom_site_label
_atom_site_type_symbol
_atom_site_fract_x
_atom_site_fract_y
_atom_site_fract_z
Na1 Na 0.000 0.000 0.000
Na2 Na 0.000 0.500 0.500
Na3 Na 0.500 0.000 0.500
Na4 Na 0.500 0.500 0.000
Ni1 Ni 0.000 0.000 0.500
Pd1 Pd 0.000 0.500 0.000
Pd2 Pd 0.500 0.000 0.000
Pd3 Pd 0.500 0.500 0.500
O1 O 0.217 0.707 0.249
O2 O 0.223 0.223 0.187
O3 O 0.240 0.240 0.769
O4 O 0.293 0.783 0.751
O5 O 0.707 0.217 0.249
O6 O 0.760 0.760 0.231
O7 O 0.777 0.777 0.813
O8 O 0.783 0.293 0.751
```